# 1
Diffraction record for Y3Mg3CuHgIr. The powder X-ray diffraction pattern is computed, not measured: it uses a cell relaxed with GGA-PBE and a wavelength of 1.5418 Å.
No peak broadening, texture or thermal motion is included.

Principal peaks in the range 10 to 90 degrees two-theta, by intensity:
2θ = 32.6°, I 100
2θ = 35.3°, I 78
2θ = 23.1°, I 67
2θ = 13.3°, I 50
2θ = 40.6°, I 42
2θ = 42.6°, I 37

Cell and atoms:
abc: 7.699 7.699 3.929
angles: 90.00 90.00 120.00
Atoms (fractional coordinates):
1 Y 0.029 0.603 0.000
2 Y 0.397 0.426 0.000
3 Y 0.574 0.971 0.000
4 Mg 0.002 0.244 0.500
5 Mg 0.242 0.998 0.500
6 Mg 0.756 0.758 0.500
7 Cu 0.000 0.000 0.000
8 Hg 0.667 0.333 0.500
9 Ir 0.333 0.667 0.500

***

# 2
Diffraction record for Sr2BeH6Pd. The powder X-ray diffraction pattern is computed, not measured: it uses a cell relaxed with GGA-PBE and a wavelength of 1.5418 Å.
No peak broadening, texture or thermal motion is included.

Principal peaks in the range 10 to 90 degrees two-theta, by intensity:
2θ = 34.1°, I 100
2θ = 61.0°, I 36
2θ = 20.7°, I 29
2θ = 49.0°, I 19
2θ = 40.2°, I 16
2θ = 81.9°, I 16

Cell and atoms:
abc: 5.261 5.261 5.261
angles: 60.00 60.00 60.00
Atoms (fractional coordinates):
1 Sr 0.250 0.250 0.250
2 Sr 0.750 0.750 0.750
3 Be 0.000 0.000 0.000
4 H 0.230 0.230 0.770
5 H 0.230 0.770 0.230
6 H 0.230 0.770 0.770
7 H 0.770 0.230 0.230
8 H 0.770 0.230 0.770
9 H 0.770 0.770 0.230
10 Pd 0.500 0.500 0.500

***

# 3
Diffraction record for NdY2Tl2Cd4. The powder X-ray diffraction pattern is computed, not measured: it uses a cell relaxed with GGA-PBE and a wavelength of 1.5418 Å.
No peak broadening, texture or thermal motion is included.

Principal peaks in the range 10 to 90 degrees two-theta, by intensity:
2θ = 33.5°, I 100
2θ = 30.4°, I 76
2θ = 39.1°, I 51
2θ = 33.3°, I 49
2θ = 41.2°, I 48
2θ = 30.6°, I 36

Cell and atoms:
abc: 4.609 7.636 7.636
angles: 120.64 90.00 90.00
Atoms (fractional coordinates):
1 Nd 0.000 0.000 0.000
2 Y 0.000 0.424 0.850
3 Y 0.000 0.850 0.424
4 Tl 0.500 0.094 0.755
5 Tl 0.500 0.755 0.094
6 Cd 0.000 0.432 0.432
7 Cd 0.500 0.187 0.425
8 Cd 0.500 0.425 0.187
9 Cd 0.500 0.667 0.667

***

# 4
Diffraction record for Sc2AlGa3Ir2. The powder X-ray diffraction pattern is computed, not measured: it uses a cell relaxed with GGA-PBE and a wavelength of 1.5418 Å.
No peak broadening, texture or thermal motion is included.

Principal peaks in the range 10 to 90 degrees two-theta, by intensity:
2θ = 26.6°, I 100
2θ = 37.5°, I 69
2θ = 47.0°, I 66
2θ = 18.3°, I 60
2θ = 35.4°, I 56
2θ = 42.9°, I 41

Cell and atoms:
abc: 5.287 5.287 6.706
angles: 90.25 90.25 47.00
Atoms (fractional coordinates):
1 Sc 0.000 0.000 0.000
2 Sc 0.162 0.162 0.503
3 Al 0.442 0.442 0.306
4 Ga 0.452 0.452 0.703
5 Ga 0.713 0.713 0.203
6 Ga 0.716 0.716 0.803
7 Ir 0.289 0.289 0.001
8 Ir 0.880 0.880 0.502

***

# 5
Diffraction record for NaSrBiPt. The powder X-ray diffraction pattern is computed, not measured: it uses a cell relaxed with GGA-PBE and a wavelength of 1.5418 Å.
No peak broadening, texture or thermal motion is included.

Principal peaks in the range 10 to 90 degrees two-theta, by intensity:
2θ = 34.7°, I 100
2θ = 21.0°, I 38
2θ = 62.2°, I 38
2θ = 40.9°, I 22
2θ = 49.9°, I 18
2θ = 83.7°, I 17

Cell and atoms:
abc: 5.170 5.170 5.170
angles: 60.00 60.00 60.00
Atoms (fractional coordinates):
1 Na 0.000 0.000 0.000
2 Sr 0.750 0.750 0.750
3 Bi 0.500 0.500 0.500
4 Pt 0.250 0.250 0.250

***

# 6
Diffraction record for Tc4Bi2Pb. The powder X-ray diffraction pattern is computed, not measured: it uses a cell relaxed with GGA-PBE and a wavelength of 1.5418 Å.
No peak broadening, texture or thermal motion is included.

Principal peaks in the range 10 to 90 degrees two-theta, by intensity:
2θ = 31.4°, I 100
2θ = 36.6°, I 71
2θ = 35.4°, I 70
2θ = 30.6°, I 57
2θ = 31.9°, I 51
2θ = 39.8°, I 39

Cell and atoms:
abc: 6.023 6.023 4.913
angles: 112.74 112.74 78.86
Atoms (fractional coordinates):
1 Tc 0.041 0.682 0.856
2 Tc 0.318 0.959 0.144
3 Tc 0.682 0.041 0.856
4 Tc 0.959 0.318 0.144
5 Bi 0.201 0.201 0.704
6 Bi 0.799 0.799 0.296
7 Pb 0.500 0.500 0.500